# SrBPtO4
Calculated X-ray diffraction stick pattern, Cu Kα (weighted mean of Kα1 and Kα2). Input: a DFT-relaxed cell (GGA-PBE, Alexandria).

Most intense lines, 10 to 90 degrees two-theta, in order of falling intensity:
2θ 22.39, d 3.971, intensity 100, (1 1 1); 2θ 33.48, d 2.676, intensity 66, (1 3 0); 2θ 32.99, d 2.716, intensity 56, (1 1 2); 2θ 29.26, d 3.052, intensity 50, (2 0 0); 2θ 45.70, d 1.985, intensity 31, (2 2 2); 2θ 24.24, d 3.671, intensity 27, (0 2 1); 2θ 45.91, d 1.977, intensity 25, (1 1 3); 2θ 67.88, d 1.381, intensity 24, (1 3 4); 2θ 38.35, d 2.347, intensity 23, (2 2 1); 2θ 54.63, d 1.680, intensity 20, (3 3 0)

Atomic structure:
```
data_SrBPtO4
_space_group_name_H-M_alt 'C m c m'
_space_group_IT_number 63
_space_group_name_Hall '-C 2c 2'
_cell_length_a 6.104
_cell_length_b 8.933
_cell_length_c 6.447
_cell_angle_alpha 90.00
_cell_angle_beta 90.00
_cell_angle_gamma 90.00
loop_
_atom_site_label
_atom_site_type_symbol
_atom_site_fract_x
_atom_site_fract_y
_atom_site_fract_z
Sr1 Sr 0.000 0.000 0.000
B1 B 0.000 0.377 0.250
Pt1 Pt 0.000 0.320 0.750
O1 O 0.000 0.280 0.062
O2 O 0.194 0.478 0.250
```